For EuZn13, a crystal structure in the Materials Project, relaxed with GGA-PBE gives the calculated X-ray powder pattern in this record (copper Kα).
No peak broadening, texture or thermal motion is included.

Main lines, by angle (5° ≤ 2θ ≤ 70°):
2theta, I_rel
32.80, 54
36.03, 100
43.86, 100
44.52, 25
47.06, 22
51.87, 13
54.16, 14
56.38, 14
62.74, 16
64.78, 10

Crystal structure
a = 8.6350 Å, b = 8.6350 Å, c = 8.6350 Å
α = 60.00°, β = 60.00°, γ = 60.00°
Element x y z (fractional)
Eu (0.2500, 0.2500, 0.2500)
Eu (0.7500, 0.7500, 0.7500)
Zn (0.0000, 0.0000, 0.0000)
Zn (0.0561, 0.3001, 0.6999)
Zn (0.0561, 0.6999, 0.9439)
Zn (0.0561, 0.9439, 0.3001)
Zn (0.1999, 0.4439, 0.8001)
Zn (0.1999, 0.5561, 0.4439)
Zn (0.1999, 0.8001, 0.5561)
Zn (0.3001, 0.0561, 0.9439)
Zn (0.3001, 0.6999, 0.0561)
Zn (0.3001, 0.9439, 0.6999)
Zn (0.4439, 0.1999, 0.5561)
Zn (0.4439, 0.5561, 0.8001)
Zn (0.4439, 0.8001, 0.1999)
Zn (0.5000, 0.5000, 0.5000)
Zn (0.5561, 0.1999, 0.8001)
Zn (0.5561, 0.4439, 0.1999)
Zn (0.5561, 0.8001, 0.4439)
Zn (0.6999, 0.0561, 0.3001)
Zn (0.6999, 0.3001, 0.9439)
Zn (0.6999, 0.9439, 0.0561)
Zn (0.8001, 0.1999, 0.4439)
Zn (0.8001, 0.4439, 0.5561)
Zn (0.8001, 0.5561, 0.1999)
Zn (0.9439, 0.0561, 0.6999)
Zn (0.9439, 0.3001, 0.0561)
Zn (0.9439, 0.6999, 0.3001)